# La3P5Pd6
Theoretical powder diffraction line list, copper Kα. Input: DFT lattice parameters and positions (GGA-PBE).

Main lines, by angle (2θ = 15–90°):
34.13°, rel. 32.1, (0 3 3); 34.55°, rel. 27.5, (1 0 3); 35.45°, rel. 100.0, (1 3 2); 43.07°, rel. 30.0, (0 6 0); 44.41°, rel. 26.2, (2 0 0); 63.80°, rel. 18.6, (1 3 6)

Cell and atoms:
a = 4.0800 Å, b = 12.6065 Å, c = 10.0970 Å
α = 90.00°, β = 90.00°, γ = 90.00°
Element x y z (fractional)
La (0.2500, 0.0912, 0.2505)
La (0.2500, 0.4088, 0.2505)
La (0.2500, 0.7500, 0.2418)
La (0.7500, 0.2500, 0.7582)
La (0.7500, 0.5912, 0.7495)
La (0.7500, 0.9088, 0.7495)
P (0.2500, 0.0809, 0.6482)
P (0.2500, 0.4191, 0.6482)
P (0.2500, 0.6241, 0.9812)
P (0.2500, 0.7500, 0.6248)
P (0.2500, 0.8759, 0.9812)
P (0.7500, 0.1241, 0.0188)
P (0.7500, 0.2500, 0.3752)
P (0.7500, 0.3759, 0.0188)
P (0.7500, 0.5809, 0.3518)
P (0.7500, 0.9191, 0.3518)
Pd (0.2500, 0.0601, 0.8900)
Pd (0.2500, 0.2500, 0.0187)
Pd (0.2500, 0.2500, 0.5110)
Pd (0.2500, 0.4399, 0.8900)
Pd (0.2500, 0.5801, 0.4918)
Pd (0.2500, 0.9199, 0.4918)
Pd (0.7500, 0.0801, 0.5082)
Pd (0.7500, 0.4199, 0.5082)
Pd (0.7500, 0.5601, 0.1100)
Pd (0.7500, 0.7500, 0.4890)
Pd (0.7500, 0.7500, 0.9813)
Pd (0.7500, 0.9399, 0.1100)